This entry pairs a crystal structure of Nb6BiTe8 with its simulated powder diffraction line list. Radiation: Cu Kα X-rays. Structure: a crystal structure in the Materials Project, relaxed with GGA-PBE.

Main lines, most intense first (2θ = 5–70°):
hkl, 2θ/deg, I_rel
3 -1 1, 35.4, 100
1 3 0, 34.5, 80
0 2 1, 31.2, 68
3 0 0, 28.6, 60
2 2 1, 41.7, 35
5 -2 1, 49.3, 29
3 1 1, 42.8, 29
2 -1 1, 29.7, 28

Atomic structure:
Cell: 10.815 10.815 3.627 Å, 90.00 90.00 120.00°
Positions (direct):
Nb: 0.102 0.615 0.250
Nb: 0.385 0.487 0.250
Nb: 0.487 0.102 0.750
Nb: 0.513 0.898 0.250
Nb: 0.615 0.513 0.750
Nb: 0.898 0.385 0.750
Bi: 0.000 0.000 0.000
Te: 0.066 0.335 0.247
Te: 0.269 0.934 0.247
Te: 0.333 0.667 0.751
Te: 0.335 0.269 0.753
Te: 0.665 0.731 0.247
Te: 0.667 0.333 0.249
Te: 0.731 0.066 0.753
Te: 0.934 0.665 0.753